This entry pairs a crystal structure of Ba6ZrZn6S14 with its computed XRD peak list. Radiation: CuKα. Structure: a GGA-PBE-relaxed structure.
Neutral-atom scattering factors, no anomalous dispersion.

Principal peaks in the range 2θ from 10° to 80°, in order of falling intensity:
| two_theta | intensity | (hkl) |
| --- | --- | --- |
| 29.1 | 100 | 3 3 2 |
| 23.5 | 99 | 2 2 2 |
| 27.5 | 61 | 5 1 0 |
| 30.5 | 57 | 4 4 0 |
| 33.4 | 43 | 3 2 3 |
| 33.0 | 41 | 5 1 2 |
| 36.2 | 36 | 0 0 4 |
| 24.0 | 36 | 4 2 0 |
| 38.9 | 29 | 6 2 2 |
| 22.8 | 29 | 3 3 0 |

Crystal structure
Unit cell a=16.567 b=16.567 c=9.925 alpha=90.00 beta=90.00 gamma=90.00
Space group I4/mcm (No. 140)
One atom of each set of equivalent atoms:
Ba  0.000  0.197  0.250
Ba  0.229  0.271  0.000
Zr  0.000  0.000  0.000
Zn  0.090  0.410  0.150
Zn  0.117  0.383  0.500
S  0.000  0.000  0.250
S  0.000  0.500  0.250
S  0.016  0.327  0.000
S  0.112  0.112  0.000
S  0.169  0.331  0.292

This entry pairs a crystal structure of FeSi4P4 with its computed XRD peak list. Radiation: CuKα. Structure: a GGA-PBE-relaxed structure.
Neutral-atom scattering factors, no anomalous dispersion.

Principal peaks in the range 2θ from 10° to 80°, in order of falling intensity:
| two_theta | intensity | (hkl) |
| --- | --- | --- |
| 30.9 | 100 | 1 0 2 |
| 50.7 | 26 | 0 1 -3 |
| 50.9 | 15 | 2 -1 2 |
| 34.7 | 15 | 1 2 1 |
| 38.6 | 9 | 0 2 1 |
| 44.9 | 9 | 2 2 0 |
| 16.9 | 8 | 0 1 0 |
| 22.9 | 8 | 1 1 1 |
| 50.5 | 7 | 2 1 3 |
| 15.7 | 7 | 0 0 1 |

Crystal structure
Unit cell a=4.893 b=5.560 c=6.089 alpha=85.39 beta=68.39 gamma=70.46
Space group P1 (No. 1)
One atom of each set of equivalent atoms:
Fe  0.000  0.000  0.000
Si  0.239  0.337  0.431
Si  0.344  0.599  0.886
Si  0.681  0.777  0.216
Si  0.847  0.971  0.697
P  0.156  0.009  0.308
P  0.328  0.217  0.769
P  0.636  0.398  0.116
P  0.762  0.641  0.565